Diffraction record for Na2CuC2O6. The powder diffractogram is computed, not measured: it uses a structure optimized by DFT (GGA-PBE) and Cu Kα, 1.54184 Å.

Largest 12 diffraction maxima, low angle first, 5° ≤ 2θ ≤ 70°:
d_spacing  I_rel
5.201  46
4.667  54
4.384  21
4.312  61
3.313  16
2.988  34
2.716  100
2.687  56
2.481  35
2.396  27
1.897  29
1.848  23

Atomic structure:
```
data_Na2CuC2O6
_chemical_formula_sum 'Na4 Cu2 C4 O12'
_cell_length_a 5.763
_cell_length_b 8.150
_cell_length_c 6.307
_cell_angle_alpha 90.00
_cell_angle_beta 115.51
_cell_angle_gamma 90.00
_symmetry_space_group_name_H-M 'P 1'
_symmetry_Int_Tables_number 1
_symmetry_space_group_name_Hall 'P 1'
loop_
_atom_site_label
_atom_site_type_symbol
_atom_site_fract_x
_atom_site_fract_y
_atom_site_fract_z
_atom_site_occupancy
Na1 Na 0.137 0.093 0.315 1
Na2 Na 0.137 0.407 0.815 1
Na3 Na 0.863 0.593 0.185 1
Na4 Na 0.863 0.907 0.685 1
Cu1 Cu 0.500 0.000 0.000 1
Cu2 Cu 0.500 0.500 0.500 1
C1 C 0.306 0.732 0.130 1
C2 C 0.306 0.768 0.630 1
C3 C 0.694 0.232 0.370 1
C4 C 0.694 0.268 0.870 1
O1 O 0.122 0.669 0.594 1
O2 O 0.122 0.831 0.094 1
O3 O 0.286 0.575 0.175 1
O4 O 0.286 0.925 0.675 1
O5 O 0.482 0.223 0.881 1
O6 O 0.482 0.277 0.381 1
O7 O 0.518 0.723 0.619 1
O8 O 0.518 0.777 0.119 1
O9 O 0.714 0.075 0.325 1
O10 O 0.714 0.425 0.825 1
O11 O 0.878 0.169 0.906 1
O12 O 0.878 0.331 0.406 1
```

***

Diffraction record for Y2PdRh. The powder diffractogram is computed, not measured: it uses a structure optimized by DFT (GGA-PBE) and Cu Kα, 1.54184 Å.

Largest 4 diffraction maxima, low angle first, 5° ≤ 2θ ≤ 70°:
d_spacing  I_rel
3.484  1
2.463  100
1.742  17
1.422  34

Atomic structure:
```
data_Y2PdRh
_chemical_formula_sum 'Y8 Pd4 Rh4'
_cell_length_a 6.967
_cell_length_b 6.967
_cell_length_c 6.967
_cell_angle_alpha 90.00
_cell_angle_beta 90.00
_cell_angle_gamma 90.00
_symmetry_space_group_name_H-M 'P 1'
_symmetry_Int_Tables_number 1
_symmetry_space_group_name_Hall 'P 1'
loop_
_atom_site_label
_atom_site_type_symbol
_atom_site_fract_x
_atom_site_fract_y
_atom_site_fract_z
_atom_site_occupancy
Y1 Y 0.250 0.250 0.250 1
Y2 Y 0.250 0.250 0.750 1
Y3 Y 0.250 0.750 0.250 1
Y4 Y 0.250 0.750 0.750 1
Y5 Y 0.750 0.250 0.250 1
Y6 Y 0.750 0.250 0.750 1
Y7 Y 0.750 0.750 0.250 1
Y8 Y 0.750 0.750 0.750 1
Pd1 Pd 0.000 0.000 0.000 1
Pd2 Pd 0.000 0.500 0.500 1
Pd3 Pd 0.500 0.000 0.500 1
Pd4 Pd 0.500 0.500 0.000 1
Rh1 Rh 0.000 0.000 0.500 1
Rh2 Rh 0.000 0.500 0.000 1
Rh3 Rh 0.500 0.000 0.000 1
Rh4 Rh 0.500 0.500 0.500 1
```

***

Diffraction record for PuUC2. The powder diffractogram is computed, not measured: it uses a structure optimized by DFT (GGA-PBE) and Cu Kα, 1.54184 Å.

Largest 10 diffraction maxima, low angle first, 5° ≤ 2θ ≤ 70°:
d_spacing  I_rel
2.914  100
2.823  31
2.503  80
1.792  30
1.749  27
1.526  16
1.513  31
1.487  15
1.457  15
1.412  5

Atomic structure:
```
data_PuUC2
_chemical_formula_sum 'Pu3 U3 C6'
_cell_length_a 3.583
_cell_length_b 3.583
_cell_length_c 16.940
_cell_angle_alpha 90.00
_cell_angle_beta 90.00
_cell_angle_gamma 120.00
_symmetry_space_group_name_H-M 'P 1'
_symmetry_Int_Tables_number 1
_symmetry_space_group_name_Hall 'P 1'
loop_
_atom_site_label
_atom_site_type_symbol
_atom_site_fract_x
_atom_site_fract_y
_atom_site_fract_z
_atom_site_occupancy
Pu1 Pu 0.000 0.000 0.000 1
Pu2 Pu 0.333 0.667 0.667 1
Pu3 Pu 0.667 0.333 0.333 1
U1 U 0.000 0.000 0.500 1
U2 U 0.333 0.667 0.167 1
U3 U 0.667 0.333 0.833 1
C1 C 0.000 0.000 0.239 1
C2 C 0.000 0.000 0.761 1
C3 C 0.333 0.667 0.428 1
C4 C 0.333 0.667 0.905 1
C5 C 0.667 0.333 0.095 1
C6 C 0.667 0.333 0.572 1
```

***

Diffraction record for Ba5Ho2ZrAl2O13. The powder diffractogram is computed, not measured: it uses a structure optimized by DFT (GGA-PBE) and Cu Kα, 1.54184 Å.

Largest 12 diffraction maxima, low angle first, 5° ≤ 2θ ≤ 70°:
d_spacing  I_rel
12.595  35
5.116  18
3.273  26
3.017  100
2.964  63
2.218  18
2.178  13
2.114  31
1.742  20
1.731  26
1.701  15
1.508  19

Atomic structure:
```
data_Ba5Ho2ZrAl2O13
_chemical_formula_sum 'Ba10 Ho4 Zr2 Al4 O26'
_cell_length_a 6.033
_cell_length_b 6.033
_cell_length_c 25.191
_cell_angle_alpha 90.00
_cell_angle_beta 90.00
_cell_angle_gamma 120.00
_symmetry_space_group_name_H-M 'P 1'
_symmetry_Int_Tables_number 1
_symmetry_space_group_name_Hall 'P 1'
loop_
_atom_site_label
_atom_site_type_symbol
_atom_site_fract_x
_atom_site_fract_y
_atom_site_fract_z
_atom_site_occupancy
Ba1 Ba 0.000 0.000 0.138 1
Ba2 Ba 0.000 0.000 0.362 1
Ba3 Ba 0.000 0.000 0.638 1
Ba4 Ba 0.000 0.000 0.862 1
Ba5 Ba 0.333 0.667 0.042 1
Ba6 Ba 0.333 0.667 0.458 1
Ba7 Ba 0.333 0.667 0.750 1
Ba8 Ba 0.667 0.333 0.250 1
Ba9 Ba 0.667 0.333 0.542 1
Ba10 Ba 0.667 0.333 0.958 1
Ho1 Ho 0.333 0.667 0.604 1
Ho2 Ho 0.333 0.667 0.896 1
Ho3 Ho 0.667 0.333 0.104 1
Ho4 Ho 0.667 0.333 0.396 1
Zr1 Zr 0.000 0.000 0.000 1
Zr2 Zr 0.000 0.000 0.500 1
Al1 Al 0.333 0.667 0.181 1
Al2 Al 0.333 0.667 0.319 1
Al3 Al 0.667 0.333 0.681 1
Al4 Al 0.667 0.333 0.819 1
O1 O 0.011 0.505 0.158 1
O2 O 0.011 0.505 0.342 1
O3 O 0.162 0.324 0.551 1
O4 O 0.162 0.324 0.949 1
O5 O 0.162 0.838 0.551 1
O6 O 0.162 0.838 0.949 1
O7 O 0.324 0.162 0.051 1
O8 O 0.324 0.162 0.449 1
O9 O 0.333 0.667 0.250 1
O10 O 0.495 0.505 0.158 1
O11 O 0.495 0.505 0.342 1
O12 O 0.495 0.989 0.158 1
O13 O 0.495 0.989 0.342 1
O14 O 0.505 0.011 0.658 1
O15 O 0.505 0.011 0.842 1
O16 O 0.505 0.495 0.658 1
O17 O 0.505 0.495 0.842 1
O18 O 0.667 0.333 0.750 1
O19 O 0.676 0.838 0.551 1
O20 O 0.676 0.838 0.949 1
O21 O 0.838 0.162 0.051 1
O22 O 0.838 0.162 0.449 1
O23 O 0.838 0.676 0.051 1
O24 O 0.838 0.676 0.449 1
O25 O 0.989 0.495 0.658 1
O26 O 0.989 0.495 0.842 1
```

***

Diffraction record for KMg14B. The powder diffractogram is computed, not measured: it uses a structure optimized by DFT (GGA-PBE) and Cu Kα, 1.54184 Å.

Largest 12 diffraction maxima, low angle first, 5° ≤ 2θ ≤ 70°:
d_spacing  I_rel
4.891  3
3.527  4
3.049  3
2.971  6
2.758  25
2.645  24
2.445  100
1.909  13
1.679  4
1.592  17
1.486  14
1.364  16

Atomic structure:
```
data_KMg14B
_chemical_formula_sum 'K1 Mg14 B1'
_cell_length_a 6.368
_cell_length_b 6.368
_cell_length_c 10.580
_cell_angle_alpha 90.00
_cell_angle_beta 90.00
_cell_angle_gamma 120.00
_symmetry_space_group_name_H-M 'P 1'
_symmetry_Int_Tables_number 1
_symmetry_space_group_name_Hall 'P 1'
loop_
_atom_site_label
_atom_site_type_symbol
_atom_site_fract_x
_atom_site_fract_y
_atom_site_fract_z
_atom_site_occupancy
K1 K 0.000 0.000 0.000 1
Mg1 Mg 0.009 0.504 0.000 1
Mg2 Mg 0.163 0.327 0.278 1
Mg3 Mg 0.163 0.327 0.722 1
Mg4 Mg 0.163 0.837 0.278 1
Mg5 Mg 0.163 0.837 0.722 1
Mg6 Mg 0.496 0.504 0.000 1
Mg7 Mg 0.496 0.991 0.000 1
Mg8 Mg 0.504 0.009 0.500 1
Mg9 Mg 0.504 0.496 0.500 1
Mg10 Mg 0.667 0.333 0.241 1
Mg11 Mg 0.667 0.333 0.759 1
Mg12 Mg 0.673 0.837 0.278 1
Mg13 Mg 0.673 0.837 0.722 1
Mg14 Mg 0.991 0.496 0.500 1
B1 B 0.000 0.000 0.500 1
```

***

Diffraction record for InCuTe2. The powder diffractogram is computed, not measured: it uses a structure optimized by DFT (GGA-PBE) and Cu Kα, 1.54184 Å.

Largest 12 diffraction maxima, low angle first, 5° ≤ 2θ ≤ 70°:
d_spacing  I_rel
3.647  25
3.626  100
2.888  6
2.427  17
2.229  39
2.219  50
1.902  13
1.895  40
1.638  11
1.572  13
1.444  5
1.440  13

Atomic structure:
```
data_InCuTe2
_chemical_formula_sum 'In3 Cu3 Te6'
_cell_length_a 4.438
_cell_length_b 4.438
_cell_length_c 21.883
_cell_angle_alpha 90.00
_cell_angle_beta 90.00
_cell_angle_gamma 120.00
_symmetry_space_group_name_H-M 'P 1'
_symmetry_Int_Tables_number 1
_symmetry_space_group_name_Hall 'P 1'
loop_
_atom_site_label
_atom_site_type_symbol
_atom_site_fract_x
_atom_site_fract_y
_atom_site_fract_z
_atom_site_occupancy
In1 In 0.000 0.000 0.000 1
In2 In 0.333 0.667 0.667 1
In3 In 0.667 0.333 0.333 1
Cu1 Cu 0.000 0.000 0.484 1
Cu2 Cu 0.333 0.667 0.151 1
Cu3 Cu 0.667 0.333 0.817 1
Te1 Te 0.000 0.000 0.127 1
Te2 Te 0.000 0.000 0.605 1
Te3 Te 0.333 0.667 0.272 1
Te4 Te 0.333 0.667 0.793 1
Te5 Te 0.667 0.333 0.460 1
Te6 Te 0.667 0.333 0.938 1
```

***

Diffraction record for LaAl3O6. The powder diffractogram is computed, not measured: it uses a structure optimized by DFT (GGA-PBE) and Cu Kα, 1.54184 Å.

Largest 12 diffraction maxima, low angle first, 5° ≤ 2θ ≤ 70°:
d_spacing  I_rel
6.540  49
5.112  78
4.767  58
3.645  58
3.338  73
3.270  100
2.996  42
2.858  52
2.736  29
2.488  32
2.179  36
2.079  36

Atomic structure:
```
data_LaAl3O6
_chemical_formula_sum 'La2 Al6 O12'
_cell_length_a 7.059
_cell_length_b 7.059
_cell_length_c 6.249
_cell_angle_alpha 111.85
_cell_angle_beta 111.85
_cell_angle_gamma 79.08
_symmetry_space_group_name_H-M 'P 1'
_symmetry_Int_Tables_number 1
_symmetry_space_group_name_Hall 'P 1'
loop_
_atom_site_label
_atom_site_type_symbol
_atom_site_fract_x
_atom_site_fract_y
_atom_site_fract_z
_atom_site_occupancy
La1 La 0.186 0.814 0.750 1
La2 La 0.814 0.186 0.250 1
Al1 Al 0.192 0.808 0.250 1
Al2 Al 0.236 0.355 0.823 1
Al3 Al 0.355 0.236 0.323 1
Al4 Al 0.645 0.764 0.677 1
Al5 Al 0.764 0.645 0.177 1
Al6 Al 0.808 0.192 0.750 1
O1 O 0.028 0.192 0.679 1
O2 O 0.183 0.614 0.977 1
O3 O 0.192 0.028 0.179 1
O4 O 0.256 0.398 0.562 1
O5 O 0.386 0.817 0.523 1
O6 O 0.398 0.256 0.062 1
O7 O 0.602 0.744 0.938 1
O8 O 0.614 0.183 0.477 1
O9 O 0.744 0.602 0.438 1
O10 O 0.808 0.972 0.821 1
O11 O 0.817 0.386 0.023 1
O12 O 0.972 0.808 0.321 1
```